Starting from a crystal structure in Alexandria, relaxed with PBE, the X-ray powder pattern of TaTiP3O12 was computed for CuKα.

Most intense lines, 10 to 80 degrees two-theta, most intense first:
2θ 14.2, I = 100; 2θ 19.8, I = 98; 2θ 20.5, I = 69; 2θ 28.6, I = 60; 2θ 31.7, I = 57; 2θ 23.7, I = 45

Cell and atoms:
```
data_TaTiP3O12
_chemical_formula_sum 'Ta6 Ti6 P18 O72'
_symmetry_space_group_name_H-M 'R 3 c'
_symmetry_Int_Tables_number 161
_symmetry_space_group_name_Hall 'R 3 -2"c'
_cell_length_a 8.6833
_cell_length_b 8.6833
_cell_length_c 22.3149
_cell_angle_alpha 90.00
_cell_angle_beta 90.00
_cell_angle_gamma 120.00
loop_
_atom_site_label
_atom_site_type_symbol
_atom_site_fract_x
_atom_site_fract_y
_atom_site_fract_z
_atom_site_occupancy
Ta1 Ta 0.0000 0.0000 0.0000 1
Ti1 Ti 0.0000 0.0000 0.2167 1
P1 P 0.0553 0.3818 0.2762 1
O1 O 0.0306 0.1975 0.5532 1
O2 O 0.0327 0.1976 0.2656 1
O3 O 0.1609 0.4653 0.6183 1
O4 O 0.1699 0.4677 0.3314 1
```